Record 1
This entry pairs a crystal structure of LaRe4SiGe with its calculated powder diffractogram. Radiation: a wavelength of 1.5418 Å. Structure: a structure optimized by DFT (GGA-PBE).
Lines closer than 0.1° are merged.

Main lines, most intense first (5 to 70 degrees two-theta):
d [Å]  2theta  I_rel
2.515  35.70  1000
7.135  12.41  838
2.056  44.05  475
2.104  42.98  255
2.087  43.36  249
1.680  54.64  186
1.482  62.70  168
2.019  44.91  75
2.003  45.28  73
3.568  24.96  72
1.427  65.40  65
2.712  33.03  64

Cell and atoms:
Unit cell a=4.1735 b=7.4391 c=7.4391 alpha=32.87 beta=90.00 gamma=90.00
Fractional positions:
La  0.0000  0.0000  0.0000
Re  0.0000  0.3050  0.3050
Re  0.0000  0.7035  0.7035
Re  0.5000  0.1993  0.1993
Re  0.5000  0.8094  0.8094
Si  0.5000  0.4090  0.4090
Ge  0.5000  0.5878  0.5878


Record 2
This entry pairs a crystal structure of SmTmPO with its calculated powder diffractogram. Radiation: a wavelength of 1.5418 Å. Structure: a structure optimized by DFT (GGA-PBE).
Lines closer than 0.1° are merged.

Main lines, most intense first (5 to 70 degrees two-theta):
d [Å]  2theta  I_rel
2.893  30.91  1000
3.114  28.67  638
1.967  46.15  513
3.197  27.90  421
1.675  54.79  414
3.354  26.58  386
1.737  52.69  233
1.882  48.38  232
2.547  35.23  215
1.627  56.58  182
2.135  42.34  156
3.210  27.79  129

Cell and atoms:
Unit cell a=12.9897 b=12.9897 c=12.9897 alpha=17.42 beta=17.42 gamma=17.42
Fractional positions:
Sm  0.1283  0.1283  0.1283
Sm  0.8717  0.8717  0.8717
Tm  0.2933  0.2933  0.2933
Tm  0.7067  0.7067  0.7067
P  0.4092  0.4092  0.4092
P  0.5908  0.5908  0.5908
O  0.1896  0.1896  0.1896
O  0.8104  0.8104  0.8104